Diffraction record for AcZnCuPd6. The X-ray powder pattern is calculated, not measured: it uses a crystal structure in Alexandria, relaxed with GGA-PBE and Cu Kα.

The 10 most intense peaks (5° ≤ 2θ ≤ 70°), sorted by position:
2θ 13.42, I = 14
2θ 25.85, I = 61
2θ 31.30, I = 100
2θ 41.02, I = 23
2θ 44.76, I = 24
2θ 44.86, I = 94
2θ 44.96, I = 23
2θ 55.63, I = 13
2θ 55.81, I = 13
2θ 65.31, I = 22

```
data_AcZnCuPd6
_symmetry_space_group_name_H-M 'I m m a'
_symmetry_Int_Tables_number 74
_symmetry_space_group_name_Hall '-I 2b 2'
_cell_length_a 8.064
_cell_length_b 8.100
_cell_length_c 11.430
_cell_angle_alpha 90.00
_cell_angle_beta 90.00
_cell_angle_gamma 90.00
loop_
_atom_site_label
_atom_site_type_symbol
_atom_site_fract_x
_atom_site_fract_y
_atom_site_fract_z
_atom_site_occupancy
Ac1 Ac 0.000 0.250 0.130 1
Zn1 Zn 0.250 0.250 0.750 1
Cu1 Cu 0.000 0.000 0.500 1
Pd1 Pd 0.000 0.250 0.376 1
Pd2 Pd 0.000 0.250 0.879 1
Pd3 Pd 0.248 0.002 0.125 1
```